Record 1
Simulated XRD peak list
Compound: Ba2FeMoO6
Radiation: Cu Kα X-rays
Structure: a crystal structure in the Materials Project, relaxed with PBE+U
Peak positions follow from Bragg's law for the DFT cell and can differ from measured ones.

Top 8 peaks for 2θ = 15–90°, by angle:
2θ 30.86, d 2.898, intensity 100.0; 2θ 38.03, d 2.366, intensity 10.4; 2θ 44.17, d 2.051, intensity 21.4; 2θ 44.27, d 2.046, intensity 10.6; 2θ 54.88, d 1.673, intensity 38.9; 2θ 64.29, d 1.449, intensity 19.3; 2θ 72.95, d 1.297, intensity 11.4; 2θ 89.44, d 1.096, intensity 14.1

Cell and atoms:
Cell: 5.7999 5.7999 8.1846 Å, 90.00 90.00 90.01°
Sites, in units of the cell vectors:
1 Ba 0.0005 0.5003 0.7500
2 Ba 0.5003 0.0005 0.7500
3 Ba 0.4997 0.9995 0.2500
4 Ba 0.9995 0.4997 0.2500
5 Fe 0.0000 0.0000 0.0000
6 Fe 0.5000 0.5000 0.5000
7 Mo 0.0000 0.0000 0.5000
8 Mo 0.5000 0.5000 0.0000
9 O 0.0006 0.0006 0.7503
10 O 0.2377 0.7623 0.5000
11 O 0.2485 0.7515 0.0000
12 O 0.2514 0.2514 0.5001
13 O 0.2624 0.2624 0.0005
14 O 0.4995 0.4995 0.2504
15 O 0.5005 0.5005 0.7496
16 O 0.7376 0.7376 0.9995
17 O 0.7486 0.7486 0.4999
18 O 0.7515 0.2485 0.0000
19 O 0.7623 0.2377 0.5000
20 O 0.9994 0.9994 0.2497

***

Record 2
Simulated XRD peak list
Compound: Ba2FeMoO6
Radiation: Cu Kα X-rays
Structure: a crystal structure in the Materials Project, relaxed with PBE+U
Peak positions follow from Bragg's law for the DFT cell and can differ from measured ones.

Top 8 peaks for 2θ = 15–90°, by angle:
2θ 30.84, d 2.900, intensity 100.0; 2θ 30.94, d 2.890, intensity 66.1; 2θ 31.23, d 2.864, intensity 32.3; 2θ 44.10, d 2.054, intensity 21.5; 2θ 44.37, d 2.042, intensity 21.1; 2θ 44.48, d 2.037, intensity 20.9; 2θ 54.78, d 1.676, intensity 32.6; 2θ 54.90, d 1.672, intensity 13.0

Cell and atoms:
Cell: 5.7286 5.7774 5.7849 Å, 60.30 60.41 60.53°
Sites, in units of the cell vectors:
1 Ba 0.2499 0.2502 0.2502
2 Ba 0.7501 0.7498 0.7498
3 Fe 0.0000 0.0000 0.0000
4 Mo 0.5000 0.5000 0.5000
5 O 0.2505 0.7492 0.7492
6 O 0.2561 0.7469 0.2534
7 O 0.2567 0.2541 0.7463
8 O 0.7433 0.7459 0.2537
9 O 0.7439 0.2531 0.7466
10 O 0.7495 0.2508 0.2508